1.
Diffraction record for AcPr6Y2. The PXRD pattern is calculated, not measured: it uses a DFT-relaxed cell (PBE, Alexandria) and a wavelength of 1.5418 Å.
Lines closer than 0.1° are merged.

Atomic structure:
```
9
Lattice="3.716 0.000 0.000 -1.858 3.219 0.000 0.000 0.000 27.689" Properties=species:S:1:pos:R:3 pbc="T T T"
Ac 0.000 0.000 0.000
Pr 0.000 0.000 6.237
Pr 0.000 0.000 12.035
Pr 0.000 0.000 15.654
Pr 0.000 0.000 21.452
Pr 0.000 2.146 3.212
Pr 0.000 2.146 24.477
Y 0.000 2.146 9.199
Y 0.000 2.146 18.490
```

Most intense lines, 15 to 90 degrees two-theta, by angle:
2θ = 27.72°, I 56
2θ = 29.02°, I 51
2θ = 30.63°, I 88
2θ = 32.17°, I 100
2θ = 40.56°, I 36
2θ = 49.02°, I 39
2θ = 51.45°, I 15
2θ = 54.45°, I 25
2θ = 57.98°, I 43
2θ = 59.85°, I 17

2.
Diffraction record for Cd5Ag2Pd2. The PXRD pattern is calculated, not measured: it uses a DFT-relaxed cell (PBE, Alexandria) and a wavelength of 1.5418 Å.
Lines closer than 0.1° are merged.

Atomic structure:
```
9
Lattice="8.786 0.000 0.000 0.000 2.389 4.087 0.000 -2.389 4.087" Properties=species:S:1:pos:R:3 pbc="T T T"
Cd 0.000 0.000 0.000
Cd 1.550 0.000 5.449
Cd 2.954 0.000 2.722
Cd 5.832 0.000 2.722
Cd 7.236 0.000 5.449
Ag 0.000 0.000 2.740
Ag 4.393 0.000 5.436
Pd 2.905 0.000 8.159
Pd 5.882 0.000 8.159
```

Most intense lines, 15 to 90 degrees two-theta, by angle:
2θ = 37.66°, I 100
2θ = 37.79°, I 32
2θ = 38.02°, I 71
2θ = 54.41°, I 22
2θ = 54.78°, I 10
2θ = 67.97°, I 10
2θ = 68.20°, I 12
2θ = 68.38°, I 10
2θ = 68.62°, I 11
2θ = 76.50°, I 18

3.
Diffraction record for Tm3PuRh4. The PXRD pattern is calculated, not measured: it uses a DFT-relaxed cell (PBE, Alexandria) and a wavelength of 1.5418 Å.
Lines closer than 0.1° are merged.

Atomic structure:
```
8
Lattice="3.316 0.000 0.000 0.000 4.823 0.000 0.000 0.000 9.763" Properties=species:S:1:pos:R:3 pbc="T T T"
Tm 0.000 0.000 0.000
Tm 0.000 2.411 2.417
Tm 0.000 2.411 7.346
Pu 0.000 0.000 4.882
Rh 1.658 0.000 2.388
Rh 1.658 0.000 7.375
Rh 1.658 2.411 0.000
Rh 1.658 2.411 4.882
```

Most intense lines, 15 to 90 degrees two-theta, by angle:
2θ = 25.97°, I 9
2θ = 36.82°, I 27
2θ = 37.29°, I 26
2θ = 37.73°, I 100
2θ = 53.41°, I 18
2θ = 66.93°, I 18
2θ = 67.54°, I 18
2θ = 68.40°, I 9
2θ = 68.70°, I 9
2θ = 80.58°, I 11

4.
Diffraction record for LiPm2Zn3. The PXRD pattern is calculated, not measured: it uses a DFT-relaxed cell (PBE, Alexandria) and a wavelength of 1.5418 Å.
Lines closer than 0.1° are merged.

Atomic structure:
```
12
Lattice="0.000 4.719 8.146 3.354 0.000 8.146 3.354 4.719 0.000" Properties=species:S:1:pos:R:3 pbc="T T T"
Li 3.354 4.719 2.719
Li 3.354 4.719 13.572
Pm 1.677 2.360 4.073
Pm 5.018 4.719 8.146
Pm 1.689 4.719 8.146
Pm 5.030 7.079 12.219
Zn 3.354 2.366 6.791
Zn 3.354 4.719 5.440
Zn 3.354 2.366 9.500
Zn 3.354 7.072 6.791
Zn 3.354 4.719 10.852
Zn 3.354 7.072 9.500
```

Most intense lines, 15 to 90 degrees two-theta, by angle:
2θ = 21.78°, I 33
2θ = 34.62°, I 100
2θ = 38.14°, I 21
2θ = 38.24°, I 41
2θ = 52.47°, I 20
2θ = 52.58°, I 10
2θ = 54.74°, I 7
2θ = 66.67°, I 10
2θ = 66.82°, I 19
2θ = 68.71°, I 21

5.
Diffraction record for Ca2Si3GeIr4. The PXRD pattern is calculated, not measured: it uses a DFT-relaxed cell (PBE, Alexandria) and a wavelength of 1.5418 Å.
Lines closer than 0.1° are merged.

Atomic structure:
```
10
Lattice="4.178 0.000 0.000 0.000 4.178 0.000 0.000 0.000 9.958" Properties=species:S:1:pos:R:3 pbc="T T T"
Ca 0.000 2.089 2.485
Ca 2.089 0.000 7.473
Si 0.000 0.000 0.000
Si 0.000 2.089 6.231
Si 2.089 0.000 3.727
Ge 2.089 2.089 0.000
Ir 0.000 0.000 4.979
Ir 0.000 2.089 8.642
Ir 2.089 0.000 1.316
Ir 2.089 2.089 4.979
```

Most intense lines, 15 to 90 degrees two-theta, by angle:
2θ = 17.81°, I 49
2θ = 23.09°, I 46
2θ = 26.86°, I 39
2θ = 27.88°, I 52
2θ = 31.59°, I 88
2θ = 34.51°, I 38
2θ = 35.33°, I 100
2θ = 43.32°, I 79
2θ = 47.78°, I 82
2θ = 82.70°, I 35

6.
Diffraction record for Dy4Ag2Hg5. The PXRD pattern is calculated, not measured: it uses a DFT-relaxed cell (PBE, Alexandria) and a wavelength of 1.5418 Å.
Lines closer than 0.1° are merged.

Atomic structure:
```
11
Lattice="7.742 0.000 0.000 0.000 3.538 0.000 -0.864 0.000 9.869" Properties=species:S:1:pos:R:3 pbc="T T T"
Dy 1.076 0.000 3.714
Dy 1.201 0.000 9.205
Dy 5.677 0.000 0.664
Dy 5.801 0.000 6.155
Ag 0.412 1.769 1.320
Ag 6.466 1.769 8.549
Hg 0.750 1.769 6.426
Hg 3.286 1.769 1.842
Hg 3.439 1.769 4.934
Hg 3.591 1.769 8.027
Hg 6.128 1.769 3.443
```

Most intense lines, 15 to 90 degrees two-theta, by angle:
2θ = 30.46°, I 40
2θ = 32.68°, I 100
2θ = 33.82°, I 96
2θ = 34.40°, I 76
2θ = 35.30°, I 57
2θ = 36.15°, I 52
2θ = 37.30°, I 92
2θ = 37.45°, I 59
2θ = 38.06°, I 60
2θ = 51.67°, I 45